Simulated X-ray powder pattern of Na5LiFe2P2C2O14 for λ = 1.5418 Å (Cu Kα), from a GGA+U-relaxed structure.

Crystal structure
a b c (Å): 8.9307 6.6566 10.4683
angles (deg): 90.00 90.85 90.00
Element x y z (fractional)
Na  0.0000  0.0038  0.0000
Na  0.0000  0.9962  0.5000
Na  0.1807  0.2479  0.2514
Na  0.1807  0.7521  0.7514
Na  0.1832  0.2457  0.7565
Na  0.1832  0.7543  0.2565
Na  0.6575  0.2418  0.5013
Na  0.6575  0.7582  0.0013
Na  0.8348  0.4906  0.2588
Na  0.8348  0.5094  0.7588
Li  0.6243  0.2951  0.9842
Li  0.6243  0.7049  0.4842
Fe  0.2701  0.4897  0.4891
Fe  0.2701  0.5103  0.9891
Fe  0.5708  0.0070  0.7693
Fe  0.5708  0.9930  0.2693
P  0.3389  0.0137  0.0292
P  0.3389  0.9863  0.5292
P  0.5057  0.4937  0.2337
P  0.5057  0.5063  0.7337
C  0.8628  0.0056  0.7436
C  0.8628  0.9944  0.2436
C  0.9692  0.4973  0.0145
C  0.9692  0.5027  0.5145
O  0.0070  0.9997  0.2332
O  0.0070  0.0003  0.7332
O  0.0366  0.4915  0.4047
O  0.0366  0.5085  0.9047
O  0.0510  0.4912  0.6187
O  0.0510  0.5088  0.1187
O  0.2357  0.1969  0.9956
O  0.2357  0.8031  0.4956
O  0.2510  0.1763  0.4827
O  0.2510  0.8237  0.9827
O  0.3493  0.4985  0.2951
O  0.3493  0.5015  0.7951
O  0.3600  0.0014  0.1771
O  0.3600  0.9986  0.6771
O  0.4879  0.4978  0.0845
O  0.4879  0.5022  0.5845
O  0.4938  0.0347  0.9659
O  0.4938  0.9653  0.4659
O  0.5967  0.3051  0.2748
O  0.5967  0.6949  0.7748
O  0.6017  0.3237  0.7808
O  0.6017  0.6763  0.2808
O  0.7768  0.0209  0.6427
O  0.7768  0.9791  0.1427
O  0.8011  0.0048  0.3554
O  0.8011  0.9952  0.8554
O  0.8251  0.4760  0.0196
O  0.8251  0.5240  0.5196

Main lines, most intense first (2θ from 10° to 90°):
2θ (°)  intensity  index
26.79  100  0 2 0
33.56  74  2 2 0
34.27  69  0 0 4
49.14  44  4 2 0
33.37  40  1 2 -2
19.53  33  1 0 -2
19.79  31  1 0 2
26.04  30  2 0 -2
42.01  29  2 1 -4
55.19  27  0 4 0